Record 1
Theoretical X-ray powder pattern
Compound: KBiSe2
Radiation: λ = 1.5418 Å (Cu Kα)
Structure: a DFT-relaxed cell (PBE, the Materials Project)
No peak broadening, texture or thermal motion is included.

Largest 8 diffraction maxima, by intensity, 15° ≤ 2θ ≤ 90°:
d_spacing  Rel. int.
3.088  100.0
5.568  82.5
2.228  71.2
3.218  49.3
2.183  37.9
1.807  37.4
1.269  32.1
2.700  29.7

Structure:
```
data_KBiSe2
_chemical_formula_sum 'K4 Bi4 Se8'
_symmetry_space_group_name_H-M 'I 41/a m d'
_symmetry_Int_Tables_number 141
_cell_length_a 6.175
_cell_length_b 6.175
_cell_length_c 12.871
_cell_angle_alpha 90.00
_cell_angle_beta 90.00
_cell_angle_gamma 90.00
loop_
_symmetry_equiv_pos_as_xyz
'x,y,z'
'-x,-y,-z'
'-y+1/4,x+3/4,z+1/4'
'y+1/4,-x+3/4,-z+1/4'
'-x+1/2,-y,z+1/2'
'x+1/2,y,-z+1/2'
'y+1/4,-x+1/4,z+3/4'
'-y+1/4,x+1/4,-z+3/4'
'x,-y,-z'
'-x,y,z'
'-y+1/4,-x+1/4,-z+3/4'
'y+1/4,x+1/4,z+3/4'
'-x+1/2,y,-z+1/2'
'x+1/2,-y,z+1/2'
'y+1/4,x+3/4,-z+1/4'
'-y+1/4,-x+3/4,z+1/4'
'x+1/2,y+1/2,z+1/2'
'-x+1/2,-y+1/2,-z+1/2'
'-y+3/4,x+1/4,z+3/4'
'y+3/4,-x+1/4,-z+3/4'
'-x,-y+1/2,z'
'x,y+1/2,-z'
'y+3/4,-x+3/4,z+1/4'
'-y+3/4,x+3/4,-z+1/4'
'x+1/2,-y+1/2,-z+1/2'
'-x+1/2,y+1/2,z+1/2'
'-y+3/4,-x+3/4,-z+1/4'
'y+3/4,x+3/4,z+1/4'
'-x,y+1/2,-z'
'x,-y+1/2,z'
'y+3/4,x+1/4,-z+3/4'
'-y+3/4,-x+1/4,z+3/4'
loop_
_atom_site_label
_atom_site_fract_x
_atom_site_fract_y
_atom_site_fract_z
_atom_site_occupancy
K1 0.000 0.250 0.375 1
Bi1 0.000 0.250 0.875 1
Se1 0.000 0.250 0.103 1
```

Record 2
Theoretical X-ray powder pattern
Compound: K2Bi8Se13
Radiation: λ = 1.5418 Å (Cu Kα)
Structure: a DFT-relaxed cell (PBE, the Materials Project)
No peak broadening, texture or thermal motion is included.

Largest 8 diffraction maxima, by intensity, 15° ≤ 2θ ≤ 90°:
d_spacing  Rel. int.
2.981  100.0
3.259  46.5
2.108  40.3
5.739  38.0
3.014  37.5
2.478  32.6
3.647  32.3
2.116  30.5

Structure:
```
data_K2Bi8Se13
_chemical_formula_sum 'K4 Bi16 Se26'
_symmetry_space_group_name_H-M 'C 1 2/m 1'
_symmetry_Int_Tables_number 12
_cell_length_a 27.699
_cell_length_b 4.219
_cell_length_c 12.389
_cell_angle_alpha 90.00
_cell_angle_beta 92.36
_cell_angle_gamma 90.00
loop_
_symmetry_equiv_pos_as_xyz
'x,y,z'
'-x,-y,-z'
'-x,y,-z'
'x,-y,z'
'x+1/2,y+1/2,z'
'-x+1/2,-y+1/2,-z'
'-x+1/2,y+1/2,-z'
'x+1/2,-y+1/2,z'
loop_
_atom_site_label
_atom_site_fract_x
_atom_site_fract_y
_atom_site_fract_z
_atom_site_occupancy
K1 0.089 0.000 0.053 1
Bi1 0.060 0.000 0.382 1
Bi2 0.076 0.500 0.704 1
Bi3 0.190 0.500 0.454 1
Bi4 0.217 0.000 0.870 1
Se1 0.000 0.500 0.500 1
Se2 0.020 0.000 0.798 1
Se3 0.111 0.500 0.276 1
Se4 0.130 0.000 0.569 1
Se5 0.139 0.500 0.882 1
Se6 0.209 0.000 0.089 1
Se7 0.243 0.000 0.358 1
```

Repeat the first record exactly.
Theoretical X-ray powder pattern
Compound: KBiSe2
Radiation: λ = 1.5418 Å (Cu Kα)
Structure: a DFT-relaxed cell (PBE, the Materials Project)
No peak broadening, texture or thermal motion is included.

Largest 8 diffraction maxima, by intensity, 15° ≤ 2θ ≤ 90°:
d_spacing  Rel. int.
3.088  100.0
5.568  82.5
2.228  71.2
3.218  49.3
2.183  37.9
1.807  37.4
1.269  32.1
2.700  29.7

Structure:
```
data_KBiSe2
_chemical_formula_sum 'K4 Bi4 Se8'
_symmetry_space_group_name_H-M 'I 41/a m d'
_symmetry_Int_Tables_number 141
_cell_length_a 6.175
_cell_length_b 6.175
_cell_length_c 12.871
_cell_angle_alpha 90.00
_cell_angle_beta 90.00
_cell_angle_gamma 90.00
loop_
_symmetry_equiv_pos_as_xyz
'x,y,z'
'-x,-y,-z'
'-y+1/4,x+3/4,z+1/4'
'y+1/4,-x+3/4,-z+1/4'
'-x+1/2,-y,z+1/2'
'x+1/2,y,-z+1/2'
'y+1/4,-x+1/4,z+3/4'
'-y+1/4,x+1/4,-z+3/4'
'x,-y,-z'
'-x,y,z'
'-y+1/4,-x+1/4,-z+3/4'
'y+1/4,x+1/4,z+3/4'
'-x+1/2,y,-z+1/2'
'x+1/2,-y,z+1/2'
'y+1/4,x+3/4,-z+1/4'
'-y+1/4,-x+3/4,z+1/4'
'x+1/2,y+1/2,z+1/2'
'-x+1/2,-y+1/2,-z+1/2'
'-y+3/4,x+1/4,z+3/4'
'y+3/4,-x+1/4,-z+3/4'
'-x,-y+1/2,z'
'x,y+1/2,-z'
'y+3/4,-x+3/4,z+1/4'
'-y+3/4,x+3/4,-z+1/4'
'x+1/2,-y+1/2,-z+1/2'
'-x+1/2,y+1/2,z+1/2'
'-y+3/4,-x+3/4,-z+1/4'
'y+3/4,x+3/4,z+1/4'
'-x,y+1/2,-z'
'x,-y+1/2,z'
'y+3/4,x+1/4,-z+3/4'
'-y+3/4,-x+1/4,z+3/4'
loop_
_atom_site_label
_atom_site_fract_x
_atom_site_fract_y
_atom_site_fract_z
_atom_site_occupancy
K1 0.000 0.250 0.375 1
Bi1 0.000 0.250 0.875 1
Se1 0.000 0.250 0.103 1
```

What did the second record say?
Theoretical X-ray powder pattern
Compound: K2Bi8Se13
Radiation: λ = 1.5418 Å (Cu Kα)
Structure: a DFT-relaxed cell (PBE, the Materials Project)
No peak broadening, texture or thermal motion is included.

Largest 8 diffraction maxima, by intensity, 15° ≤ 2θ ≤ 90°:
d_spacing  Rel. int.
2.981  100.0
3.259  46.5
2.108  40.3
5.739  38.0
3.014  37.5
2.478  32.6
3.647  32.3
2.116  30.5

Structure:
```
data_K2Bi8Se13
_chemical_formula_sum 'K4 Bi16 Se26'
_symmetry_space_group_name_H-M 'C 1 2/m 1'
_symmetry_Int_Tables_number 12
_cell_length_a 27.699
_cell_length_b 4.219
_cell_length_c 12.389
_cell_angle_alpha 90.00
_cell_angle_beta 92.36
_cell_angle_gamma 90.00
loop_
_symmetry_equiv_pos_as_xyz
'x,y,z'
'-x,-y,-z'
'-x,y,-z'
'x,-y,z'
'x+1/2,y+1/2,z'
'-x+1/2,-y+1/2,-z'
'-x+1/2,y+1/2,-z'
'x+1/2,-y+1/2,z'
loop_
_atom_site_label
_atom_site_fract_x
_atom_site_fract_y
_atom_site_fract_z
_atom_site_occupancy
K1 0.089 0.000 0.053 1
Bi1 0.060 0.000 0.382 1
Bi2 0.076 0.500 0.704 1
Bi3 0.190 0.500 0.454 1
Bi4 0.217 0.000 0.870 1
Se1 0.000 0.500 0.500 1
Se2 0.020 0.000 0.798 1
Se3 0.111 0.500 0.276 1
Se4 0.130 0.000 0.569 1
Se5 0.139 0.500 0.882 1
Se6 0.209 0.000 0.089 1
Se7 0.243 0.000 0.358 1
```